No. 1
This entry pairs a crystal structure of Tm2Pt with its simulated powder XRD pattern. Radiation: Cu Kα, 1.54184 Å. Structure: a DFT-relaxed cell (PBE, Alexandria).

Principal peaks in the range 2θ from 10° to 90°, by angle:
two_theta  intensity  index
30.74  83  1 1 2
31.66  33  2 1 0
32.72  22  2 0 2
33.35  100  2 1 1
36.46  68  0 1 3
38.15  66  0 2 0
43.77  24  3 0 2
44.27  25  3 1 1
44.86  30  2 1 3
70.38  22  2 0 6

Crystal structure
```
data_Tm2Pt
_chemical_formula_sum 'Tm8 Pt4'
_cell_length_a 7.059
_cell_length_b 4.718
_cell_length_c 8.669
_cell_angle_alpha 90.00
_cell_angle_beta 90.00
_cell_angle_gamma 90.00
_symmetry_space_group_name_H-M 'P n m a'
_symmetry_Int_Tables_number 62
loop_
_symmetry_equiv_pos_as_xyz
'x,y,z'
'-x,-y,-z'
'-x+1/2,-y,z+1/2'
'x+1/2,y,-z+1/2'
'x+1/2,-y+1/2,-z+1/2'
'-x+1/2,y+1/2,z+1/2'
'-x,y+1/2,-z'
'x,-y+1/2,z'
loop_
_atom_site_label
_atom_site_type_symbol
_atom_site_fract_x
_atom_site_fract_y
_atom_site_fract_z
Tm1 Tm 0.011 0.250 0.167
Tm2 Tm 0.144 0.250 0.579
Pt1 Pt 0.241 0.250 0.905
```

No. 2
This entry pairs a crystal structure of PrDyTl with its simulated powder XRD pattern. Radiation: Cu Kα, 1.54184 Å. Structure: a DFT-relaxed cell (PBE, Alexandria).

Principal peaks in the range 2θ from 10° to 90°, by angle:
two_theta  intensity  index
26.48  20  1 1 0
28.56  69  1 1 1
31.89  22  0 0 3
34.10  100  1 1 2
37.19  30  1 0 3
37.79  61  2 0 0
50.26  25  2 0 3
54.07  21  2 1 3
54.52  22  2 2 0
65.89  30  3 1 2

Crystal structure
```
data_PrDyTl
_chemical_formula_sum 'Pr2 Dy2 Tl2'
_cell_length_a 4.761
_cell_length_b 4.761
_cell_length_c 8.419
_cell_angle_alpha 90.00
_cell_angle_beta 90.00
_cell_angle_gamma 90.00
_symmetry_space_group_name_H-M 'P 4/n m m'
_symmetry_Int_Tables_number 129
loop_
_symmetry_equiv_pos_as_xyz
'x,y,z'
'-x,-y,-z'
'-y+1/2,x,z'
'y+1/2,-x,-z'
'-x+1/2,-y+1/2,z'
'x+1/2,y+1/2,-z'
'y,-x+1/2,z'
'-y,x+1/2,-z'
'x+1/2,-y,-z'
'-x+1/2,y,z'
'-y,-x,-z'
'y,x,z'
'-x,y+1/2,-z'
'x,-y+1/2,z'
'y+1/2,x+1/2,-z'
'-y+1/2,-x+1/2,z'
loop_
_atom_site_label
_atom_site_type_symbol
_atom_site_fract_x
_atom_site_fract_y
_atom_site_fract_z
Pr1 Pr 0.250 0.250 0.147
Dy1 Dy 0.250 0.750 0.500
Tl1 Tl 0.250 0.250 0.763
```

No. 3
This entry pairs a crystal structure of MnTcSnPH with its simulated powder XRD pattern. Radiation: Cu Kα, 1.54184 Å. Structure: a DFT-relaxed cell (PBE, Alexandria).

Principal peaks in the range 2θ from 10° to 90°, by angle:
two_theta  intensity  index
12.07  29  0 0 2
29.53  88  0 1 1
30.06  56  1 0 1
34.79  51  1 0 3
36.78  50  0 0 6
42.49  49  0 1 5
42.88  49  1 0 5
43.57  100  1 1 2
48.84  59  1 1 4
52.80  27  0 1 7

Crystal structure
```
data_MnTcSnPH
_chemical_formula_sum 'Mn2 Tc2 Sn2 P2 H2'
_cell_length_a 3.036
_cell_length_b 3.091
_cell_length_c 14.662
_cell_angle_alpha 90.00
_cell_angle_beta 90.00
_cell_angle_gamma 90.00
_symmetry_space_group_name_H-M 'I m m 2'
_symmetry_Int_Tables_number 44
loop_
_symmetry_equiv_pos_as_xyz
'x,y,z'
'-x,-y,z'
'-x,y,z'
'x,-y,z'
'x+1/2,y+1/2,z+1/2'
'-x+1/2,-y+1/2,z+1/2'
'-x+1/2,y+1/2,z+1/2'
'x+1/2,-y+1/2,z+1/2'
loop_
_atom_site_label
_atom_site_type_symbol
_atom_site_fract_x
_atom_site_fract_y
_atom_site_fract_z
Mn1 Mn 0.000 0.000 0.000
Tc1 Tc 0.000 0.000 0.181
Sn1 Sn 0.000 0.500 0.841
P1 P 0.000 0.000 0.608
H1 H 0.000 0.500 0.445
```